[1]
Simulated powder diffraction line list
Compound: Dy2Y2CCl3F2
Radiation: Cu Ka
Structure: a cell relaxed with PBE
No peak broadening, texture or thermal motion is included.

Cell and atoms:
a = 15.3840 Å, b = 3.6622 Å, c = 7.7654 Å
α = 90.00°, β = 104.55°, γ = 90.00°
Space group C2/m (No. 12)
Unique sites:
Dy  0.1576  0.0000  0.0869
Y  0.0068  0.5000  0.7926
C  0.0000  0.0000  0.0000
Cl  0.0000  0.0000  0.5000
Cl  0.1782  0.5000  0.3434
F  0.1779  0.5000  0.9058

The 12 most intense peaks (10° ≤ 2θ ≤ 80°), by angle:
- hkl 0 0 1, 2θ 11.8, I 100.0
- hkl 2 0 1, 2θ 18.8, I 27.0
- hkl 4 0 -1, 2θ 23.9, I 30.4
- hkl 2 0 2, 2θ 29.2, I 31.1
- hkl 3 1 0, 2θ 30.3, I 30.1
- hkl 3 1 -1, 2θ 30.9, I 21.3
- hkl 1 1 -2, 2θ 33.6, I 78.6
- hkl 3 1 1, 2θ 34.3, I 31.8
- hkl 6 0 0, 2θ 36.2, I 32.1
- hkl 2 0 3, 2θ 40.8, I 13.0
- hkl 0 2 0, 2θ 49.8, I 13.8
- hkl 7 1 -2, 2θ 50.2, I 43.3

[2]
Simulated powder diffraction line list
Compound: GdDyC2Cl2
Radiation: Cu Ka
Structure: a cell relaxed with PBE
No peak broadening, texture or thermal motion is included.

Cell and atoms:
a = 6.9511 Å, b = 3.7534 Å, c = 10.5895 Å
α = 90.00°, β = 98.39°, γ = 90.00°
Space group Cm (No. 8)
Unique sites:
Gd  0.0000  0.0000  0.0000
Dy  0.3126  0.5000  0.2838
C  0.3203  0.0000  0.1078
C  0.4940  0.0000  0.1805
Cl  0.1171  0.5000  0.8355
Cl  0.1971  0.0000  0.4455

The 12 most intense peaks (10° ≤ 2θ ≤ 80°), by angle:
- hkl 0 0 3, 2θ 25.5, I 32.9
- hkl 1 1 0, 2θ 27.1, I 72.3
- hkl 2 0 1, 2θ 28.5, I 84.4
- hkl 1 1 1, 2θ 29.0, I 90.0
- hkl 1 1 -2, 2θ 31.0, I 79.9
- hkl 2 0 2, 2θ 33.2, I 57.7
- hkl 2 0 -3, 2θ 33.8, I 26.6
- hkl 0 0 4, 2θ 34.2, I 26.7
- hkl 1 1 -3, 2θ 36.2, I 100.0
- hkl 1 1 4, 2θ 45.7, I 50.8
- hkl 3 1 -1, 2θ 46.1, I 40.4
- hkl 3 1 -2, 2θ 47.5, I 28.4

[3]
Simulated powder diffraction line list
Compound: Dy2Ho2CI4Cl
Radiation: Cu Ka
Structure: a cell relaxed with PBE
No peak broadening, texture or thermal motion is included.

Cell and atoms:
a = 19.2542 Å, b = 3.8893 Å, c = 8.1855 Å
α = 90.00°, β = 101.77°, γ = 90.00°
Space group C2/m (No. 12)
Unique sites:
Dy  0.0009  0.0000  0.2972
Ho  0.1262  0.5000  0.5631
C  0.0000  0.5000  0.5000
I  0.1612  0.0000  0.8497
I  0.1661  0.0000  0.3130
Cl  0.0000  0.5000  0.0000

The 12 most intense peaks (10° ≤ 2θ ≤ 80°), by angle:
- hkl 0 0 1, 2θ 11.0, I 46.1
- hkl 1 1 0, 2θ 23.4, I 15.7
- hkl 6 0 0, 2θ 28.4, I 41.9
- hkl 3 1 1, 2θ 30.3, I 18.7
- hkl 1 1 -2, 2θ 31.7, I 100.0
- hkl 4 0 2, 2θ 32.1, I 15.6
- hkl 6 0 -2, 2θ 32.4, I 15.5
- hkl 5 1 0, 2θ 33.1, I 35.3
- hkl 5 1 2, 2θ 43.0, I 22.5
- hkl 7 1 -2, 2θ 43.2, I 21.5
- hkl 2 0 -4, 2θ 44.3, I 14.7
- hkl 0 2 0, 2θ 46.7, I 19.0

[4]
Simulated powder diffraction line list
Compound: Nd2Dy2CI3Cl2
Radiation: Cu Ka
Structure: a cell relaxed with PBE
No peak broadening, texture or thermal motion is included.

Cell and atoms:
a = 18.5938 Å, b = 3.9735 Å, c = 8.8150 Å
α = 90.00°, β = 100.81°, γ = 90.00°
Space group C2/m (No. 12)
Unique sites:
Nd  0.0010  0.0000  0.3043
Dy  0.1319  0.5000  0.5628
C  0.0000  0.5000  0.5000
I  0.0000  0.5000  0.0000
I  0.1761  0.0000  0.3261
Cl  0.1549  0.0000  0.7796

The 12 most intense peaks (10° ≤ 2θ ≤ 80°), by angle:
- hkl 0 0 1, 2θ 10.2, I 90.9
- hkl 4 0 1, 2θ 23.7, I 20.6
- hkl 6 0 0, 2θ 29.3, I 36.4
- hkl 1 1 -2, 2θ 30.3, I 100.0
- hkl 0 0 3, 2θ 31.0, I 17.0
- hkl 5 1 0, 2θ 33.3, I 21.3
- hkl 5 1 -1, 2θ 33.5, I 39.8
- hkl 1 1 -3, 2θ 38.1, I 16.1
- hkl 2 0 -4, 2θ 41.0, I 15.9
- hkl 5 1 2, 2θ 41.9, I 20.7
- hkl 7 1 -2, 2θ 43.4, I 21.2
- hkl 0 2 0, 2θ 45.7, I 18.5

[5]
Simulated powder diffraction line list
Compound: Nd2Dy2CI3Cl2
Radiation: Cu Ka
Structure: a cell relaxed with PBE
No peak broadening, texture or thermal motion is included.

Cell and atoms:
a = 18.5976 Å, b = 3.9289 Å, c = 8.4865 Å
α = 90.00°, β = 101.02°, γ = 90.00°
Space group C2/m (No. 12)
Unique sites:
Nd  0.1376  0.0000  0.0715
Dy  0.0020  0.5000  0.8091
C  0.0000  0.0000  0.0000
I  0.0000  0.0000  0.5000
I  0.1716  0.5000  0.8000
Cl  0.1449  0.5000  0.3151

The 12 most intense peaks (10° ≤ 2θ ≤ 80°), by angle:
- hkl 0 0 1, 2θ 10.6, I 62.7
- hkl 1 1 1, 2θ 25.9, I 19.2
- hkl 3 1 -1, 2θ 28.0, I 19.7
- hkl 6 0 0, 2θ 29.4, I 49.1
- hkl 3 1 1, 2θ 30.1, I 21.5
- hkl 1 1 -2, 2θ 31.0, I 100.0
- hkl 5 1 -1, 2θ 33.7, I 31.1
- hkl 2 0 3, 2θ 35.5, I 18.3
- hkl 6 0 -3, 2θ 39.5, I 23.1
- hkl 5 1 2, 2θ 42.7, I 37.9
- hkl 7 1 -2, 2θ 43.8, I 24.4
- hkl 0 2 0, 2θ 46.2, I 20.1

[6]
Simulated powder diffraction line list
Compound: Nd2Dy2CI2Cl3
Radiation: Cu Ka
Structure: a cell relaxed with PBE
No peak broadening, texture or thermal motion is included.

Cell and atoms:
a = 17.9435 Å, b = 3.9165 Å, c = 8.2171 Å
α = 90.00°, β = 100.15°, γ = 90.00°
Space group C2/m (No. 12)
Unique sites:
Nd  0.0062  0.0000  0.2895
Dy  0.1359  0.5000  0.5650
C  0.0000  0.5000  0.5000
I  0.1701  0.0000  0.8507
Cl  0.0000  0.5000  0.0000
Cl  0.1733  0.0000  0.3574

The 12 most intense peaks (10° ≤ 2θ ≤ 80°), by angle:
- hkl 0 0 1, 2θ 10.9, I 37.6
- hkl 2 0 -1, 2θ 13.5, I 34.0
- hkl 4 0 -1, 2θ 21.2, I 24.2
- hkl 6 0 0, 2θ 30.4, I 38.4
- hkl 3 1 1, 2θ 30.5, I 37.5
- hkl 1 1 -2, 2θ 31.6, I 100.0
- hkl 4 0 2, 2θ 32.6, I 17.2
- hkl 5 1 0, 2θ 34.2, I 31.9
- hkl 2 0 3, 2θ 36.5, I 17.8
- hkl 5 1 2, 2θ 43.5, I 21.5
- hkl 7 1 -2, 2θ 45.2, I 25.3
- hkl 0 2 0, 2θ 46.4, I 18.2

[7]
Simulated powder diffraction line list
Compound: Nd2Dy2CI2Cl3
Radiation: Cu Ka
Structure: a cell relaxed with PBE
No peak broadening, texture or thermal motion is included.

Cell and atoms:
a = 18.5728 Å, b = 3.8438 Å, c = 8.0167 Å
α = 90.00°, β = 100.25°, γ = 90.00°
Space group C2/m (No. 12)
Unique sites:
Nd  0.1377  0.0000  0.0732
Dy  0.0030  0.5000  0.7942
C  0.0000  0.0000  0.0000
I  0.1725  0.5000  0.7851
Cl  0.0000  0.0000  0.5000
Cl  0.1423  0.5000  0.3325

The 12 most intense peaks (10° ≤ 2θ ≤ 80°), by angle:
- hkl 0 0 1, 2θ 11.2, I 86.7
- hkl 1 1 0, 2θ 23.7, I 17.3
- hkl 1 1 -1, 2θ 25.9, I 23.5
- hkl 6 0 0, 2θ 29.3, I 51.3
- hkl 3 1 1, 2θ 30.7, I 17.0
- hkl 1 1 -2, 2θ 32.3, I 100.0
- hkl 6 0 -2, 2θ 33.8, I 54.2
- hkl 5 1 -1, 2θ 34.3, I 24.0
- hkl 2 0 3, 2θ 37.2, I 18.5
- hkl 5 1 2, 2θ 43.5, I 29.2
- hkl 7 1 -2, 2θ 44.8, I 21.8
- hkl 0 2 0, 2θ 47.3, I 20.7

[8]
Simulated powder diffraction line list
Compound: Nd2Dy2CI2Cl3
Radiation: Cu Ka
Structure: a cell relaxed with PBE
No peak broadening, texture or thermal motion is included.

Cell and atoms:
a = 18.5667 Å, b = 3.9127 Å, c = 8.1412 Å
α = 90.00°, β = 100.80°, γ = 90.00°
Space group C2/m (No. 12)
Unique sites:
Nd  0.0014  0.0000  0.2864
Dy  0.1325  0.5000  0.5675
C  0.0000  0.5000  0.5000
I  0.1767  0.0000  0.3091
Cl  0.0000  0.5000  0.0000
Cl  0.1546  0.0000  0.8067

The 12 most intense peaks (10° ≤ 2θ ≤ 80°), by angle:
- hkl 0 0 1, 2θ 11.1, I 100.0
- hkl 4 0 1, 2θ 24.2, I 17.0
- hkl 1 1 -1, 2θ 25.4, I 21.2
- hkl 6 0 0, 2θ 29.4, I 35.6
- hkl 1 1 -2, 2θ 31.7, I 95.1
- hkl 6 0 -2, 2θ 33.5, I 29.5
- hkl 5 1 0, 2θ 33.6, I 38.2
- hkl 5 1 -1, 2θ 33.9, I 22.5
- hkl 5 1 2, 2θ 43.3, I 23.9
- hkl 7 1 -2, 2θ 44.3, I 18.0
- hkl 0 2 0, 2θ 46.4, I 17.9
- hkl 11 1 0, 2θ 60.7, I 14.2